This entry pairs a crystal structure of Ac3Cu4Rh2 with its simulated powder X-ray diffraction pattern. Radiation: Cu Ka. Structure: a DFT-relaxed cell (PBE, Alexandria).

The 12 most intense peaks (2θ = 5–70°), by intensity:
| 2θ (°) | Rel. int. | (hkl) |
| --- | --- | --- |
| 32.09 | 100 | 3 1 0 |
| 32.29 | 94 | 1 1 2 |
| 40.91 | 77 | 3 1 -3 |
| 31.73 | 49 | 4 0 -1 |
| 32.12 | 47 | 0 0 3 |
| 23.52 | 41 | 1 1 -1 |
| 41.55 | 38 | 0 2 0 |
| 44.17 | 32 | 4 0 2 |
| 53.46 | 23 | 0 2 3 |
| 23.16 | 23 | 2 0 -2 |
| 62.25 | 23 | 4 2 2 |
| 62.12 | 23 | 1 1 5 |

Structural model:
a = 11.3047 Å, b = 4.3469 Å, c = 8.6642 Å
α = 90.00°, β = 105.24°, γ = 90.00°
Space group C2/m (No. 12)
Inequivalent atoms, fractional coordinates:
Ac  0.0000  0.0000  0.0000 (multiplicity 2)
Ac  0.1737  0.5000  0.6581 (multiplicity 4)
Cu  0.0467  0.0000  0.3857 (multiplicity 4)
Cu  0.2245  0.5000  0.0526 (multiplicity 4)
Rh  0.1114  0.5000  0.2721 (multiplicity 4)

---

This entry pairs a crystal structure of Ga4Co5Mo with its simulated powder X-ray diffraction pattern. Radiation: Cu Ka. Structure: a DFT-relaxed cell (PBE, Alexandria).

The 12 most intense peaks (2θ = 5–70°), by intensity:
| 2θ (°) | Rel. int. | (hkl) |
| --- | --- | --- |
| 43.55 | 100 | 1 0 5 |
| 45.88 | 45 | 1 1 0 |
| 66.91 | 14 | 2 0 0 |
| 59.53 | 8 | 0 0 10 |
| 39.72 | 2 | 1 0 4 |
| 32.00 | 2 | 1 0 0 |
| 47.89 | 1 | 1 0 6 |
| 28.75 | 1 | 0 0 5 |
| 55.05 | 1 | 1 1 5 |
| 36.52 | 1 | 1 0 3 |
| 53.08 | 1 | 0 0 9 |
| 69.20 | 1 | 1 0 10 |

Structural model:
a = 2.7969 Å, b = 2.7969 Å, c = 15.5279 Å
α = 90.00°, β = 90.00°, γ = 90.00°
Space group P4/mmm (No. 123)
Inequivalent atoms, fractional coordinates:
Ga  0.0000  0.0000  0.0973 (multiplicity 2)
Ga  0.0000  0.0000  0.2917 (multiplicity 2)
Co  0.5000  0.5000  0.0000 (multiplicity 1)
Co  0.5000  0.5000  0.1942 (multiplicity 2)
Co  0.5000  0.5000  0.3884 (multiplicity 2)
Mo  0.0000  0.0000  0.5000 (multiplicity 1)

---

This entry pairs a crystal structure of Pd5Pb6 with its simulated powder X-ray diffraction pattern. Radiation: Cu Ka. Structure: a DFT-relaxed cell (PBE, Alexandria).

The 12 most intense peaks (2θ = 5–70°), by intensity:
| 2θ (°) | Rel. int. | (hkl) |
| --- | --- | --- |
| 31.26 | 100 | 1 3 1 |
| 39.08 | 58 | 0 2 3 |
| 34.55 | 54 | 2 0 -2 |
| 28.29 | 36 | 1 3 -1 |
| 42.50 | 34 | 1 3 -3 |
| 51.71 | 25 | 3 3 -1 |
| 32.29 | 21 | 1 1 2 |
| 45.88 | 16 | 1 5 -2 |
| 40.98 | 14 | 1 5 0 |
| 68.57 | 14 | 1 5 4 |
| 43.89 | 12 | 2 0 2 |
| 45.68 | 12 | 0 6 0 |

Structural model:
a = 5.9239 Å, b = 11.9177 Å, c = 7.7139 Å
α = 90.00°, β = 103.53°, γ = 90.00°
Space group C2/m (No. 12)
Inequivalent atoms, fractional coordinates:
Pd  0.0000  0.0000  0.0000 (multiplicity 2)
Pd  0.0000  0.2016  0.5000 (multiplicity 4)
Pd  0.0000  0.3842  0.0000 (multiplicity 4)
Pb  0.2015  0.1829  0.2079 (multiplicity 8)
Pb  0.2363  0.0000  0.6826 (multiplicity 4)

---

This entry pairs a crystal structure of Fe2Ni3Ge3 with its simulated powder X-ray diffraction pattern. Radiation: Cu Ka. Structure: a DFT-relaxed cell (PBE, Alexandria).

The 12 most intense peaks (2θ = 5–70°), by intensity:
| 2θ (°) | Rel. int. | (hkl) |
| --- | --- | --- |
| 44.02 | 100 | 2 1 1 |
| 45.56 | 97 | 1 1 2 |
| 45.29 | 81 | 3 0 0 |
| 36.97 | 31 | 0 0 2 |
| 39.70 | 22 | 2 1 0 |
| 58.57 | 21 | 3 1 1 |
| 66.20 | 20 | 2 2 2 |
| 14.75 | 17 | 1 0 0 |
| 59.84 | 10 | 3 0 2 |
| 40.00 | 10 | 1 0 2 |
| 25.69 | 10 | 1 1 0 |
| 48.15 | 7 | 2 0 2 |

Structural model:
a = 6.9359 Å, b = 6.9359 Å, c = 4.8629 Å
α = 90.00°, β = 90.00°, γ = 120.00°
Space group P6_3/mcm (No. 193)
Inequivalent atoms, fractional coordinates:
Fe  0.3333  0.6667  0.0000 (multiplicity 4)
Ni  0.0000  0.2630  0.2500 (multiplicity 6)
Ge  0.0000  0.3825  0.7500 (multiplicity 6)

---

This entry pairs a crystal structure of Pm5Ge2Bi2 with its simulated powder X-ray diffraction pattern. Radiation: Cu Ka. Structure: a DFT-relaxed cell (PBE, Alexandria).

The 12 most intense peaks (2θ = 5–70°), by intensity:
| 2θ (°) | Rel. int. | (hkl) |
| --- | --- | --- |
| 34.99 | 100 | 1 3 1 |
| 31.41 | 78 | 4 2 0 |
| 32.24 | 72 | 5 1 1 |
| 33.31 | 57 | 4 2 1 |
| 30.77 | 56 | 0 2 2 |
| 29.62 | 47 | 3 1 2 |
| 49.60 | 33 | 0 2 4 |
| 55.65 | 32 | 5 3 3 |
| 45.17 | 30 | 5 1 3 |
| 63.99 | 28 | 9 3 1 |
| 37.52 | 24 | 5 1 2 |
| 24.23 | 23 | 0 2 1 |

Structural model:
a = 15.8041 Å, b = 8.2095 Å, c = 8.2278 Å
α = 90.00°, β = 90.00°, γ = 90.00°
Space group Cmce (No. 64)
Inequivalent atoms, fractional coordinates:
Pm  0.0000  0.0000  0.0000 (multiplicity 4)
Pm  0.1253  0.1657  0.3355 (multiplicity 16)
Ge  0.0000  0.1374  0.6367 (multiplicity 8)
Bi  0.2064  0.0000  0.0000 (multiplicity 8)

---

This entry pairs a crystal structure of Sr2H6Pt with its simulated powder X-ray diffraction pattern. Radiation: Cu Ka. Structure: a DFT-relaxed cell (PBE, Alexandria).

The 12 most intense peaks (2θ = 5–70°), by intensity:
| 2θ (°) | Rel. int. | (hkl) |
| --- | --- | --- |
| 29.85 | 100 | 3 1 1 |
| 31.96 | 45 | 0 2 0 |
| 55.65 | 35 | 3 3 1 |
| 12.92 | 29 | 2 0 0 |
| 51.63 | 18 | 6 2 0 |
| 45.82 | 17 | 0 2 2 |
| 40.00 | 16 | 5 1 1 |
| 34.60 | 12 | 2 2 0 |
| 23.38 | 11 | 1 1 1 |
| 62.02 | 10 | 6 2 2 |
| 39.44 | 10 | 6 0 0 |
| 62.42 | 9 | 5 3 1 |

Structural model:
a = 13.7075 Å, b = 5.6017 Å, c = 5.6010 Å
α = 90.00°, β = 90.00°, γ = 90.00°
Space group Cmce (No. 64)
Inequivalent atoms, fractional coordinates:
Sr  0.1460  0.0000  0.0000 (multiplicity 8)
H  0.0000  0.2157  0.2838 (multiplicity 8)
H  0.1219  0.0000  0.5000 (multiplicity 8)
H  0.2500  0.2504  0.2500 (multiplicity 8)
Pt  0.0000  0.0000  0.5000 (multiplicity 4)